Starting from a crystal structure in Alexandria, relaxed with GGA-PBE, the PXRD pattern of CsIn2SnHg was computed for Cu Kα, 1.54184 Å.

Structure:
a b c (Å): 8.880 4.784 9.280
angles (deg): 90.00 107.56 90.00
Space group P2_1/m (No. 11)
One atom of each set of equivalent atoms:
1 Cs 0.236 0.250 0.389 x2
2 In 0.162 0.250 0.813 x2
3 In 0.441 0.750 0.104 x2
4 Sn 0.347 0.750 0.748 x2
5 Hg 0.107 0.750 0.050 x2

Principal peaks in the range 2θ from 10° to 90°, in order of falling intensity:
2θ = 27.5°, rel. 100
2θ = 24.9°, rel. 62
2θ = 35.7°, rel. 59
2θ = 30.8°, rel. 53
2θ = 37.6°, rel. 52
2θ = 28.9°, rel. 49



Starting from a crystal structure in Alexandria, relaxed with GGA-PBE, the PXRD pattern of Pm4Dy7Y was computed for Cu Kα, 1.54184 Å.

Structure:
a b c (Å): 6.556 6.840 9.105
angles (deg): 85.51 77.25 82.15
Space group P-1 (No. 2)
One atom of each set of equivalent atoms:
1 Pm 0.137 0.308 0.283 x2
2 Pm 0.340 0.884 0.693 x2
3 Dy 0.013 0.252 0.949 x2
4 Dy 0.183 0.801 0.359 x2
5 Dy 0.311 0.394 0.615 x2
6 Dy 0.500 0.000 0.000 x1
7 Y 0.500 0.500 0.000 x1

Principal peaks in the range 2θ from 10° to 90°, in order of falling intensity:
2θ = 31.5°, rel. 100
2θ = 31.9°, rel. 65
2θ = 31.0°, rel. 37
2θ = 30.2°, rel. 34
2θ = 32.3°, rel. 32
2θ = 32.4°, rel. 21



Starting from a crystal structure in Alexandria, relaxed with GGA-PBE, the PXRD pattern of ZnSi2Sb was computed for Cu Kα, 1.54184 Å.

Structure:
a b c (Å): 3.789 3.789 5.475
angles (deg): 90.00 90.00 90.00
Space group P4/mmm (No. 123)
One atom of each set of equivalent atoms:
1 Zn 0.000 0.000 0.000 x1
2 Si 0.000 0.000 0.500 x1
3 Si 0.500 0.500 0.500 x1
4 Sb 0.500 0.500 0.000 x1

Principal peaks in the range 2θ from 10° to 90°, in order of falling intensity:
2θ = 33.4°, rel. 100
2θ = 16.2°, rel. 80
2θ = 47.5°, rel. 73
2θ = 32.7°, rel. 53
2θ = 37.4°, rel. 43
2θ = 59.3°, rel. 37